# 1
Theoretical powder XRD pattern
Compound: Pr7Sm3Tm
Radiation: a wavelength of 1.5418 Å
Structure: the PBE geometry in Alexandria
No peak broadening, texture or thermal motion is included.

Largest 10 diffraction maxima, sorted by position, 2θ from 10° to 80°:
- 30.4 deg, I = 18
- 30.6 deg, I = 100
- 30.8 deg, I = 85
- 31.2 deg, I = 82
- 31.4 deg, I = 68
- 32.0 deg, I = 65
- 32.7 deg, I = 71
- 42.4 deg, I = 21
- 46.7 deg, I = 22
- 57.3 deg, I = 22

Atomic structure:
```
Pr7Sm3Tm
1.0
7.1219 0.0000 0.0000
-3.2120 9.6656 0.0000
-2.1620 -3.8285 11.3846
Pr Sm Tm
14 6 2
direct
0.0402 0.2350 0.2673 Pr
0.1264 0.2110 0.5613 Pr
0.1744 0.6597 0.9810 Pr
0.2876 0.3266 0.9464 Pr
0.3541 0.0586 0.7316 Pr
0.4100 0.8193 0.5053 Pr
0.4579 0.6962 0.7661 Pr
0.5421 0.3038 0.2339 Pr
0.5900 0.1807 0.4947 Pr
0.6459 0.9414 0.2684 Pr
0.7124 0.6734 0.0536 Pr
0.8256 0.3403 0.0190 Pr
0.8736 0.7890 0.4387 Pr
0.9598 0.7650 0.7327 Pr
0.0000 0.5000 0.5000 Sm
0.1744 0.9315 0.2590 Sm
0.2755 0.5775 0.2401 Sm
0.5000 0.0000 0.0000 Sm
0.7245 0.4225 0.7599 Sm
0.8256 0.0685 0.7410 Sm
0.0000 0.0000 0.0000 Tm
0.5000 0.5000 0.5000 Tm
```

# 2
Theoretical powder XRD pattern
Compound: Sr2YNiIr
Radiation: a wavelength of 1.5418 Å
Structure: the PBE geometry in Alexandria
No peak broadening, texture or thermal motion is included.

Largest 10 diffraction maxima, sorted by position, 2θ from 10° to 80°:
- 16.0 deg, I = 37
- 22.7 deg, I = 18
- 29.7 deg, I = 100
- 32.4 deg, I = 71
- 38.2 deg, I = 23
- 46.4 deg, I = 26
- 50.9 deg, I = 39
- 56.1 deg, I = 34
- 61.6 deg, I = 22
- 77.1 deg, I = 11

Atomic structure:
```
Sr2YNiIr
1.0
5.5328 0.0000 0.0000
0.0000 5.5328 0.0000
0.0000 0.0000 4.7087
Sr Y Ni Ir
2 1 1 1
direct
0.0000 0.5000 0.0000 Sr
0.5000 0.0000 0.0000 Sr
0.0000 0.0000 0.5000 Y
0.5000 0.5000 0.0000 Ni
0.5000 0.5000 0.5000 Ir
```

# 3
Theoretical powder XRD pattern
Compound: Dy2GaP
Radiation: a wavelength of 1.5418 Å
Structure: the PBE geometry in Alexandria
No peak broadening, texture or thermal motion is included.

Largest 10 diffraction maxima, sorted by position, 2θ from 10° to 80°:
- 26.8 deg, I = 38
- 29.6 deg, I = 35
- 31.4 deg, I = 100
- 33.4 deg, I = 13
- 41.9 deg, I = 29
- 44.3 deg, I = 17
- 45.0 deg, I = 17
- 47.9 deg, I = 17
- 53.2 deg, I = 22
- 54.2 deg, I = 13

Atomic structure:
```
Dy2GaP
1.0
2.0134 -11.4077 0.0000
2.0134 11.4077 0.0000
0.0000 0.0000 4.0896
Dy Ga P
4 2 2
direct
0.0703 0.9297 0.7500 Dy
0.3110 0.6890 0.7500 Dy
0.6890 0.3110 0.2500 Dy
0.9297 0.0703 0.2500 Dy
0.4635 0.5365 0.7500 Ga
0.5365 0.4635 0.2500 Ga
0.1893 0.8107 0.7500 P
0.8107 0.1893 0.2500 P
```

# 4
Theoretical powder XRD pattern
Compound: Sc3TlH2
Radiation: a wavelength of 1.5418 Å
Structure: the PBE geometry in Alexandria
No peak broadening, texture or thermal motion is included.

Largest 10 diffraction maxima, sorted by position, 2θ from 10° to 80°:
- 14.3 deg, I = 67
- 16.6 deg, I = 86
- 28.1 deg, I = 61
- 31.8 deg, I = 100
- 32.3 deg, I = 93
- 33.5 deg, I = 73
- 34.8 deg, I = 72
- 36.5 deg, I = 58
- 39.6 deg, I = 53
- 40.7 deg, I = 49

Atomic structure:
```
Sc3TlH2
1.0
6.2009 0.0000 0.0000
0.0000 3.3533 0.0000
-0.4034 0.0000 9.8461
Sc Tl H
6 2 4
direct
0.0977 0.2500 0.1503 Sc
0.1411 0.2500 0.6025 Sc
0.3749 0.2500 0.8860 Sc
0.6251 0.7500 0.1140 Sc
0.8589 0.7500 0.3975 Sc
0.9023 0.7500 0.8497 Sc
0.3813 0.7500 0.3711 Tl
0.6187 0.2500 0.6289 Tl
0.0190 0.2500 0.4017 H
0.4309 0.2500 0.0895 H
0.5691 0.7500 0.9105 H
0.9810 0.7500 0.5983 H
```

# 5
Theoretical powder XRD pattern
Compound: Cd8Cu7P30
Radiation: a wavelength of 1.5418 Å
Structure: the PBE geometry in Alexandria
No peak broadening, texture or thermal motion is included.

Largest 10 diffraction maxima, sorted by position, 2θ from 10° to 80°:
- 14.5 deg, I = 19
- 16.8 deg, I = 15
- 28.0 deg, I = 16
- 28.1 deg, I = 8
- 29.3 deg, I = 100
- 37.1 deg, I = 17
- 41.9 deg, I = 9
- 44.6 deg, I = 22
- 44.7 deg, I = 9
- 48.9 deg, I = 39

Atomic structure:
```
Cd8Cu7P30
1.0
7.4514 0.0000 0.0000
3.7221 6.4624 0.0000
0.0706 0.0403 18.2878
Cd Cu P
8 7 30
direct
0.0000 0.0000 0.0000 Cd
0.0012 0.6162 0.9981 Cd
0.1388 0.7292 0.1265 Cd
0.3324 0.9536 0.3296 Cd
0.4469 0.1072 0.4517 Cd
0.6641 0.6713 0.6608 Cd
0.6656 0.2866 0.6640 Cd
0.7931 0.4144 0.7910 Cd
0.0914 0.2647 0.6593 Cu
0.1209 0.7499 0.5305 Cu
0.2860 0.4090 0.3254 Cu
0.4257 0.5948 0.9930 Cu
0.4548 0.0820 0.8648 Cu
0.7918 0.4094 0.1972 Cu
0.8024 0.9000 0.3216 Cu
0.1016 0.2614 0.5326 P
0.1249 0.7482 0.6586 P
0.1353 0.2404 0.1567 P
0.1424 0.2380 0.0363 P
0.2720 0.4246 0.6995 P
0.2722 0.9241 0.6996 P
0.2873 0.4226 0.8208 P
0.2868 0.9095 0.8210 P
0.3030 0.9160 0.1925 P
0.3041 0.3883 0.2015 P
0.4389 0.5897 0.8659 P
0.4596 0.0793 0.9929 P
0.4614 0.5816 0.4852 P
0.4666 0.5618 0.3650 P
0.6054 0.2554 0.0348 P
0.6072 0.7545 0.0325 P
0.6212 0.2385 0.1565 P
0.6251 0.7433 0.5212 P
0.6248 0.7501 0.1537 P
0.6299 0.2608 0.5255 P
0.7789 0.9159 0.1972 P
0.7894 0.4089 0.3245 P
0.7972 0.9113 0.8214 P
0.8063 0.9070 0.7010 P
0.9412 0.0888 0.3669 P
0.9515 0.5786 0.4864 P
0.9529 0.0913 0.4878 P
0.9527 0.5703 0.3654 P
0.9648 0.0660 0.8603 P
0.9654 0.5884 0.8596 P
```

# 6
Theoretical powder XRD pattern
Compound: Eu2MgS4
Radiation: a wavelength of 1.5418 Å
Structure: the PBE geometry in Alexandria
No peak broadening, texture or thermal motion is included.

Largest 10 diffraction maxima, sorted by position, 2θ from 10° to 80°:
- 14.6 deg, I = 60
- 25.0 deg, I = 76
- 26.2 deg, I = 100
- 31.8 deg, I = 50
- 34.2 deg, I = 36
- 34.5 deg, I = 97
- 38.8 deg, I = 87
- 40.9 deg, I = 48
- 50.3 deg, I = 37
- 53.9 deg, I = 45

Atomic structure:
```
Eu2MgS4
1.0
-4.1078 4.1078 4.4967
4.1078 -4.1078 4.4967
4.1078 4.1078 -4.4967
Eu Mg S
4 2 8
direct
0.9997 0.6250 0.8747 Eu
0.3750 0.2497 0.3747 Eu
0.7503 0.1250 0.1253 Eu
0.8750 0.0003 0.6253 Eu
0.2500 0.7500 0.5000 Mg
0.5000 0.5000 0.0000 Mg
0.0116 0.8844 0.2751 S
0.1156 0.3908 0.1272 S
0.1408 0.3656 0.6272 S
0.2635 0.9884 0.8728 S
0.4865 0.8592 0.2249 S
0.6092 0.7365 0.7249 S
0.6344 0.2616 0.7751 S
0.7384 0.5135 0.3728 S
```

Repeat the first record exactly.
Theoretical powder XRD pattern
Compound: Pr7Sm3Tm
Radiation: a wavelength of 1.5418 Å
Structure: the PBE geometry in Alexandria
No peak broadening, texture or thermal motion is included.

Largest 10 diffraction maxima, sorted by position, 2θ from 10° to 80°:
- 30.4 deg, I = 18
- 30.6 deg, I = 100
- 30.8 deg, I = 85
- 31.2 deg, I = 82
- 31.4 deg, I = 68
- 32.0 deg, I = 65
- 32.7 deg, I = 71
- 42.4 deg, I = 21
- 46.7 deg, I = 22
- 57.3 deg, I = 22

Atomic structure:
```
Pr7Sm3Tm
1.0
7.1219 0.0000 0.0000
-3.2120 9.6656 0.0000
-2.1620 -3.8285 11.3846
Pr Sm Tm
14 6 2
direct
0.0402 0.2350 0.2673 Pr
0.1264 0.2110 0.5613 Pr
0.1744 0.6597 0.9810 Pr
0.2876 0.3266 0.9464 Pr
0.3541 0.0586 0.7316 Pr
0.4100 0.8193 0.5053 Pr
0.4579 0.6962 0.7661 Pr
0.5421 0.3038 0.2339 Pr
0.5900 0.1807 0.4947 Pr
0.6459 0.9414 0.2684 Pr
0.7124 0.6734 0.0536 Pr
0.8256 0.3403 0.0190 Pr
0.8736 0.7890 0.4387 Pr
0.9598 0.7650 0.7327 Pr
0.0000 0.5000 0.5000 Sm
0.1744 0.9315 0.2590 Sm
0.2755 0.5775 0.2401 Sm
0.5000 0.0000 0.0000 Sm
0.7245 0.4225 0.7599 Sm
0.8256 0.0685 0.7410 Sm
0.0000 0.0000 0.0000 Tm
0.5000 0.5000 0.5000 Tm
```